(1)
Simulated XRD peak list of TbFe2Ge7 for Cu Kα, from a crystal structure in Alexandria, relaxed with GGA-PBE.

Main lines, low angle first (2θ from 10° to 90°):
- hkl 1 1 0, 13.17 deg, 6.724 Å, I 19
- hkl 2 0 0, 22.36 deg, 3.977 Å, I 30
- hkl 1 1 1, 26.02 deg, 3.424 Å, I 50
- hkl 2 0 1, 31.82 deg, 2.812 Å, I 33
- hkl 2 4 0, 36.38 deg, 2.469 Å, I 100
- hkl 3 3 0, 40.24 deg, 2.241 Å, I 18
- hkl 3 1 1, 41.56 deg, 2.173 Å, I 47
- hkl 1 5 1, 44.03 deg, 2.056 Å, I 33
- hkl 0 0 2, 45.61 deg, 1.989 Å, I 46
- hkl 3 5 1, 55.35 deg, 1.660 Å, I 13
- hkl 2 4 2, 59.70 deg, 1.549 Å, I 35
- hkl 3 7 1, 67.16 deg, 1.394 Å, I 15

Atomic structure:
a = 7.9512 Å, b = 12.5996 Å, c = 3.9789 Å
α = 90.00°, β = 90.00°, γ = 90.00°
Space group Cmmm (No. 65)
Inequivalent atoms, fractional coordinates:
Tb 0.0000 0.0000 0.0000 (multiplicity 2)
Fe 0.0000 0.3223 0.5000 (multiplicity 4)
Ge 0.0000 0.2343 0.0000 (multiplicity 4)
Ge 0.0000 0.5000 0.5000 (multiplicity 2)
Ge 0.2027 0.1450 0.5000 (multiplicity 8)



(2)
Simulated XRD peak list of TbFeGe4 for Cu Kα, from a crystal structure in Alexandria, relaxed with GGA-PBE.

Main lines, low angle first (2θ from 10° to 90°):
- hkl 1 1 0, 24.91 deg, 3.574 Å, I 73
- hkl 1 0 2, 25.28 deg, 3.523 Å, I 32
- hkl 1 1 2, 30.94 deg, 2.890 Å, I 99
- hkl 1 0 3, 32.57 deg, 2.749 Å, I 84
- hkl 2 0 0, 35.52 deg, 2.527 Å, I 32
- hkl 0 0 4, 36.58 deg, 2.457 Å, I 25
- hkl 2 0 1, 36.72 deg, 2.448 Å, I 100
- hkl 2 0 2, 40.12 deg, 2.247 Å, I 45
- hkl 2 1 1, 40.97 deg, 2.203 Å, I 41
- hkl 1 1 4, 44.76 deg, 2.025 Å, I 32
- hkl 2 2 2, 54.65 deg, 1.679 Å, I 78
- hkl 2 1 5, 62.63 deg, 1.483 Å, I 34

Atomic structure:
a = 5.0545 Å, b = 5.0545 Å, c = 9.8272 Å
α = 90.00°, β = 90.00°, γ = 90.00°
Space group P4_2/nmc (No. 137, origin choice 2)
Inequivalent atoms, fractional coordinates:
Tb 0.2500 0.7500 0.2500 (multiplicity 2)
Fe 0.2500 0.7500 0.7500 (multiplicity 2)
Ge 0.0052 0.2500 0.0541 (multiplicity 8)



(3)
Simulated XRD peak list of TbFe6Ge6 for Cu Kα, from a crystal structure in Alexandria, relaxed with GGA-PBE.

Main lines, low angle first (2θ from 10° to 90°):
- hkl 0 0 2, 35.08 deg, 2.558 Å, I 71
- hkl 3 1 1, 37.83 deg, 2.378 Å, I 15
- hkl 3 3 1, 40.58 deg, 2.223 Å, I 12
- hkl 0 4 2, 40.74 deg, 2.215 Å, I 51
- hkl 2 0 2, 41.69 deg, 2.166 Å, I 100
- hkl 4 0 0, 44.46 deg, 2.038 Å, I 24
- hkl 3 5 1, 45.67 deg, 1.987 Å, I 11
- hkl 2 8 0, 46.67 deg, 1.946 Å, I 40
- hkl 4 2 1, 49.20 deg, 1.852 Å, I 21
- hkl 2 6 3, 67.42 deg, 1.389 Å, I 15
- hkl 0 12 2, 74.20 deg, 1.278 Å, I 19
- hkl 6 0 2, 79.96 deg, 1.200 Å, I 26

Atomic structure:
a = 8.1511 Å, b = 17.6988 Å, c = 5.1215 Å
α = 90.00°, β = 90.00°, γ = 90.00°
Space group Cmcm (No. 63)
Inequivalent atoms, fractional coordinates:
Tb 0.0000 0.1272 0.2500 (multiplicity 4)
Fe 0.2495 0.0000 0.0000 (multiplicity 8)
Fe 0.2501 0.1250 0.7500 (multiplicity 8)
Fe 0.2500 0.2500 0.0000 (multiplicity 8)
Ge 0.0000 0.0422 0.7500 (multiplicity 4)
Ge 0.0000 0.2114 0.7500 (multiplicity 4)
Ge 0.0000 0.2958 0.2500 (multiplicity 4)
Ge 0.0000 0.4593 0.2500 (multiplicity 4)
Ge 0.1532 0.3757 0.7500 (multiplicity 8)